Computed X-ray diffraction stick pattern
Compound: SrLaMn2O6
Radiation: Cu Kα (weighted mean of Kα1 and Kα2)
Structure: a cell relaxed with GGA+U

Peak list (10 most intense, 5° ≤ 2θ ≤ 70°, low angle first)
2θ (°), d [Å], I_rel
19.7, 4.511, 9
23.3, 3.815, 8
32.0, 2.796, 100
33.2, 2.697, 51
40.0, 2.255, 24
44.1, 2.056, 21
47.7, 1.907, 30
56.3, 1.635, 22
58.6, 1.576, 40
66.9, 1.398, 20

```
10
Lattice="-2.697 2.697 4.111 2.697 -2.697 4.111 2.697 2.697 -4.111" Properties=species:S:1:pos:R:3 pbc="T T T"
Sr 0.000 0.000 0.000
La 0.000 0.000 4.111
Mn 2.697 0.000 2.056
Mn 0.000 2.697 2.056
O 1.614 1.604 -1.998
O 1.083 1.093 2.114
O 0.000 2.697 0.135
O 1.093 -1.083 6.109
O 1.604 3.780 1.998
O 0.000 2.697 3.976
```

***

Computed X-ray diffraction stick pattern
Compound: Sr4LaMn5O13
Radiation: Cu Kα (weighted mean of Kα1 and Kα2)
Structure: a cell relaxed with GGA+U

Peak list (10 most intense, 5° ≤ 2θ ≤ 70°, low angle first)
2θ (°), d [Å], I_rel
31.8, 2.813, 26
31.9, 2.803, 25
32.5, 2.751, 100
39.9, 2.261, 19
45.6, 1.988, 17
45.7, 1.983, 16
47.7, 1.907, 16
57.1, 1.612, 19
57.3, 1.609, 10
58.5, 1.578, 17

```
46
Lattice="8.887 -3.814 0.000 8.887 3.814 0.000 -0.035 0.000 8.873" Properties=species:S:1:pos:R:3 pbc="T T T"
Sr 5.566 1.918 7.114
Sr 8.887 1.920 0.000
Sr 10.657 1.907 5.400
Sr 12.644 1.904 1.716
Sr 5.566 -1.918 7.114
Sr 8.887 -1.920 0.000
Sr 10.657 -1.907 5.400
Sr 12.644 -1.904 1.716
La 7.209 1.926 3.564
La 7.209 -1.926 3.564
Mn 1.011 0.000 2.602
Mn 2.801 0.000 8.012
Mn 4.509 0.000 4.497
Mn 6.303 0.000 0.924
Mn 8.143 0.000 6.225
Mn 9.910 0.000 2.589
Mn 11.645 0.000 7.983
Mn 13.340 0.000 4.471
Mn 15.157 0.000 0.891
Mn 17.026 0.000 6.208
O 0.258 0.000 4.392
O 1.119 0.000 7.219
O 6.320 1.889 1.012
O 2.008 0.000 0.916
O 3.634 0.000 6.247
O 8.106 1.907 6.126
O 4.532 0.000 8.853
O 5.365 0.000 2.729
O 10.118 1.916 2.710
O 6.457 0.000 5.213
O 7.145 0.000 8.152
O 7.973 0.000 1.910
O 12.981 1.942 4.275
O 9.240 0.000 4.336
O 9.885 0.000 7.243
O 6.320 -1.889 1.012
O 10.936 0.000 0.904
O 12.407 0.000 6.223
O 8.106 -1.907 6.126
O 13.406 0.000 8.738
O 14.060 0.000 2.718
O 10.118 -1.916 2.710
O 15.268 0.000 5.077
O 16.144 0.000 7.901
O 16.822 0.000 1.926
O 12.981 -1.942 4.275
```

***

Computed X-ray diffraction stick pattern
Compound: Sr2LaMn2O7
Radiation: Cu Kα (weighted mean of Kα1 and Kα2)
Structure: a cell relaxed with GGA+U

Peak list (10 most intense, 5° ≤ 2θ ≤ 70°, low angle first)
2θ (°), d [Å], I_rel
26.3, 3.394, 12
31.7, 2.819, 100
32.2, 2.776, 69
42.1, 2.144, 26
44.7, 2.025, 13
46.3, 1.963, 42
56.2, 1.636, 14
57.2, 1.611, 38
66.3, 1.410, 15
67.5, 1.388, 12

```
12
Lattice="-1.963 1.963 10.126 1.963 -1.963 10.126 1.963 1.963 -10.126" Properties=species:S:1:pos:R:3 pbc="T T T"
Sr 0.000 0.000 0.000
Sr 0.000 0.000 3.576
La 0.000 0.000 7.375
Mn 0.000 0.000 11.807
Mn 0.000 0.000 15.733
O 1.963 0.000 1.694
O 1.963 0.000 5.739
O 0.000 0.000 9.719
O 0.000 1.963 1.694
O 0.000 0.000 13.814
O 0.000 1.963 5.739
O 0.000 0.000 17.765
```

***

Computed X-ray diffraction stick pattern
Compound: Sr2LaMn2O7
Radiation: Cu Kα (weighted mean of Kα1 and Kα2)
Structure: a cell relaxed with GGA+U

Peak list (10 most intense, 5° ≤ 2θ ≤ 70°, low angle first)
2θ (°), d [Å], I_rel
8.8, 10.050, 35
31.6, 2.830, 77
32.1, 2.792, 74
32.2, 2.779, 100
42.3, 2.139, 43
45.5, 1.992, 31
46.8, 1.940, 29
56.5, 1.629, 24
56.8, 1.621, 29
57.6, 1.600, 28

```
24
Lattice="2.780 -10.050 0.000 2.780 10.050 0.000 -0.147 0.000 5.559" Properties=species:S:1:pos:R:3 pbc="T T T"
Sr 2.780 6.372 0.000
Sr 2.707 3.682 2.780
Sr 2.707 -3.682 2.780
Sr 2.780 -6.372 0.000
La 0.000 0.000 0.000
La 2.707 0.000 2.780
Mn 2.707 8.088 2.780
Mn 2.780 1.986 0.000
Mn 2.780 -1.986 0.000
Mn 2.707 -8.088 2.780
O -0.073 0.000 2.780
O 1.285 1.830 1.457
O 1.255 1.845 4.144
O 2.707 6.166 2.780
O 2.780 3.905 0.000
O 1.285 -1.830 1.457
O 1.255 -1.845 4.144
O 2.780 0.000 0.000
O 4.158 1.845 1.415
O 4.129 1.830 4.102
O 2.780 -3.905 0.000
O 2.707 -6.166 2.780
O 4.158 -1.845 1.415
O 4.129 -1.830 4.102
```

***

Computed X-ray diffraction stick pattern
Compound: SrLa3Mn4O10
Radiation: Cu Kα (weighted mean of Kα1 and Kα2)
Structure: a cell relaxed with GGA+U

Peak list (10 most intense, 5° ≤ 2θ ≤ 70°, low angle first)
2θ (°), d [Å], I_rel
22.0, 4.032, 19
30.7, 2.908, 32
31.3, 2.862, 100
32.0, 2.797, 33
40.1, 2.248, 12
44.6, 2.031, 14
45.0, 2.016, 28
55.0, 1.670, 20
56.6, 1.627, 17
65.2, 1.431, 14

```
36
Lattice="8.631 -2.797 0.000 8.631 2.797 0.000 -3.921 0.000 10.953" Properties=species:S:1:pos:R:3 pbc="T T T"
Sr 0.825 0.000 3.273
Sr 12.516 0.000 7.680
La -1.251 -0.165 8.734
La 5.034 0.036 4.735
La 3.021 -0.205 10.214
La 8.307 0.036 6.218
La 10.319 -0.205 0.738
La 14.591 -0.165 2.219
Mn 6.670 2.750 5.476
Mn 8.631 2.694 0.000
Mn 1.981 0.189 6.559
Mn 3.944 -0.335 1.079
Mn 5.633 -0.071 8.208
Mn 7.707 -0.071 2.744
Mn 11.359 0.189 4.394
Mn 9.397 -0.335 9.873
O 1.999 0.150 1.106
O -0.003 -0.284 6.732
O 0.667 0.322 10.097
O 5.953 1.369 6.701
O 7.894 1.318 1.185
O 7.387 1.369 4.252
O 5.447 1.318 9.768
O 5.455 0.097 2.385
O 2.768 -0.510 4.737
O 3.466 -0.123 7.935
O 7.885 0.097 8.568
O 9.874 -0.123 3.018
O 12.674 0.322 0.856
O 6.062 -1.458 6.718
O 7.879 -1.518 1.226
O 7.278 -1.458 4.235
O 5.461 -1.518 9.726
O 10.572 -0.510 6.216
O 11.341 0.150 9.847
O 13.344 -0.284 4.220
```

***

Computed X-ray diffraction stick pattern
Compound: SrLaMn2O6
Radiation: Cu Kα (weighted mean of Kα1 and Kα2)
Structure: a cell relaxed with GGA+U

Peak list (10 most intense, 5° ≤ 2θ ≤ 70°, low angle first)
2θ (°), d [Å], I_rel
19.7, 4.510, 9
32.3, 2.770, 100
32.6, 2.747, 52
40.0, 2.255, 26
46.0, 1.975, 19
46.8, 1.943, 34
57.5, 1.603, 20
58.0, 1.590, 40
67.7, 1.385, 20
68.3, 1.374, 9

```
10
Lattice="-2.747 2.747 3.949 2.747 -2.747 3.949 2.747 2.747 -3.949" Properties=species:S:1:pos:R:3 pbc="T T T"
Sr 0.000 0.000 0.000
La 0.000 0.000 3.949
Mn 2.747 0.000 1.975
Mn 0.000 2.747 1.975
O 2.747 0.000 0.000
O 3.928 1.567 -1.918
O -1.180 1.180 2.031
O 0.000 2.747 0.000
O 1.567 1.567 1.918
O 1.180 1.180 5.867
```

***

Computed X-ray diffraction stick pattern
Compound: Sr2LaMn2O7
Radiation: Cu Kα (weighted mean of Kα1 and Kα2)
Structure: a cell relaxed with GGA+U

Peak list (10 most intense, 5° ≤ 2θ ≤ 70°, low angle first)
2θ (°), d [Å], I_rel
31.5, 2.843, 78
31.8, 2.813, 76
32.6, 2.748, 100
42.1, 2.146, 37
43.9, 2.061, 22
46.2, 1.963, 31
47.3, 1.923, 29
55.7, 1.649, 23
57.2, 1.610, 29
57.9, 1.593, 28

```
24
Lattice="10.485 -1.963 0.000 10.485 1.963 0.000 -1.411 0.000 7.563" Properties=species:S:1:pos:R:3 pbc="T T T"
Sr 0.000 0.000 0.000
Sr -0.697 0.000 3.749
Sr 16.669 0.000 3.094
Sr 15.964 0.000 6.874
La 12.851 0.000 2.375
La 12.136 0.000 6.167
Mn 4.498 0.000 0.819
Mn 3.795 0.000 4.608
Mn 8.415 0.000 1.553
Mn 7.725 0.000 5.337
O 2.464 0.000 0.416
O 1.781 0.000 4.251
O 3.307 0.000 6.464
O 4.017 0.000 2.694
O 6.341 0.000 1.166
O 5.696 0.000 4.960
O 8.060 0.000 3.458
O 7.360 0.000 7.212
O 9.805 0.000 5.721
O 10.632 0.000 1.973
O 14.848 0.000 0.780
O 14.150 0.000 4.596
O 18.893 0.000 1.554
O 18.198 0.000 5.333
```

***

Computed X-ray diffraction stick pattern
Compound: SrLa3MnO8
Radiation: Cu Kα (weighted mean of Kα1 and Kα2)
Structure: a cell relaxed with GGA+U

Peak list (10 most intense, 5° ≤ 2θ ≤ 70°, low angle first)
2θ (°), d [Å], I_rel
24.4, 3.655, 68
27.9, 3.199, 30
31.5, 2.843, 100
32.9, 2.722, 41
33.5, 2.673, 40
42.5, 2.125, 28
43.7, 2.073, 32
44.2, 2.051, 31
47.7, 1.907, 43
55.8, 1.649, 20

```
26
Lattice="2.673 -6.399 0.000 2.673 6.399 0.000 0.000 0.000 10.887" Properties=species:S:1:pos:R:3 pbc="T T T"
Sr 2.673 4.631 8.165
Sr 2.673 -4.631 2.722
La 2.673 4.676 2.722
La 2.673 1.714 0.020
La 2.673 1.714 5.423
La 2.673 -1.714 5.463
La 2.673 -1.714 10.867
La 2.673 -4.676 8.165
Mn 2.673 0.008 2.722
Mn 2.673 -0.008 8.165
O 2.673 3.963 0.203
O 2.673 3.963 5.241
O 1.362 0.028 6.834
O 1.362 0.028 9.497
O 1.362 -0.028 1.390
O 1.362 -0.028 4.053
O 2.673 2.031 2.722
O 2.673 2.032 8.165
O 2.673 -2.032 2.722
O 2.673 -2.031 8.165
O 3.983 0.028 6.834
O 3.983 0.028 9.497
O 3.983 -0.028 1.390
O 3.983 -0.028 4.053
O 2.673 -3.963 5.646
O 2.673 -3.963 10.684
```

***

Computed X-ray diffraction stick pattern
Compound: SrLa3Mn4O10
Radiation: Cu Kα (weighted mean of Kα1 and Kα2)
Structure: a cell relaxed with GGA+U

Peak list (10 most intense, 5° ≤ 2θ ≤ 70°, low angle first)
2θ (°), d [Å], I_rel
10.8, 8.168, 12
22.1, 4.018, 18
30.9, 2.895, 32
31.2, 2.864, 100
32.1, 2.790, 33
40.0, 2.254, 13
44.4, 2.042, 14
45.1, 2.009, 29
55.1, 1.667, 13
65.1, 1.432, 12

```
36
Lattice="8.661 -2.790 0.000 8.661 2.790 0.000 -3.851 0.000 10.921" Properties=species:S:1:pos:R:3 pbc="T T T"
Sr 6.735 2.752 5.460
Sr 8.661 -2.752 0.000
La 3.370 0.063 1.397
La 1.444 -0.063 6.857
La 7.638 0.115 2.942
La 5.713 -0.115 8.402
La 9.241 0.073 9.352
La 11.166 -0.073 3.891
Mn 0.732 0.008 3.426
Mn -1.194 -0.008 8.886
Mn 2.592 0.243 10.541
Mn 4.517 -0.243 5.081
Mn 10.355 0.005 0.680
Mn 8.430 -0.005 6.140
Mn 14.336 0.217 1.740
Mn 12.411 -0.217 7.201
O 7.200 2.512 2.981
O 3.084 0.229 3.715
O 3.819 0.414 6.996
O 1.159 -0.229 9.176
O 7.703 1.383 7.524
O 9.814 1.431 2.083
O 7.235 1.432 10.278
O 9.281 1.413 4.830
O 5.745 -0.414 1.535
O 6.538 0.046 5.008
O 4.613 -0.046 10.468
O 10.393 0.117 7.254
O 12.318 -0.117 1.794
O 12.971 0.445 5.280
O 9.628 -1.383 2.063
O 7.889 -1.431 7.543
O 9.160 -1.432 4.818
O 7.356 -1.413 10.291
O 5.274 -2.512 8.442
O 11.046 -0.445 10.740
```

***

Computed X-ray diffraction stick pattern
Compound: Sr2LaMn2O7
Radiation: Cu Kα (weighted mean of Kα1 and Kα2)
Structure: a cell relaxed with GGA+U

Peak list (10 most intense, 5° ≤ 2θ ≤ 70°, low angle first)
2θ (°), d [Å], I_rel
8.8, 10.018, 24
23.0, 3.863, 13
31.9, 2.808, 100
32.2, 2.784, 67
42.3, 2.138, 29
45.3, 2.004, 14
46.1, 1.968, 40
56.6, 1.626, 16
57.1, 1.612, 38
66.6, 1.404, 15

```
24
Lattice="2.784 -10.018 0.000 2.784 10.018 0.000 0.000 0.000 5.567" Properties=species:S:1:pos:R:3 pbc="T T T"
Sr 2.784 8.673 4.176
Sr 2.784 1.342 4.176
Sr 2.784 -1.342 1.392
Sr 2.784 -8.673 1.392
La 2.784 5.009 4.176
La 2.784 -5.009 1.392
Mn 2.784 6.992 1.392
Mn 2.784 3.060 1.392
Mn 2.784 -3.060 4.176
Mn 2.784 -6.992 4.176
O 2.784 8.900 1.392
O 1.443 3.177 0.050
O 1.443 3.177 2.733
O 2.784 5.045 1.392
O 1.443 -3.177 2.834
O 1.443 -3.177 5.517
O 2.784 1.140 1.392
O 2.784 -1.140 4.176
O 4.124 3.177 0.050
O 4.124 3.177 2.733
O 2.784 -5.045 4.176
O 4.124 -3.177 2.834
O 4.124 -3.177 5.517
O 2.784 -8.900 4.176
```